Record 1
Structure and simulated X-ray diffraction stick pattern of CdC3S3N5 (a DFT-relaxed cell (GGA-PBE, the Materials Project); Cu Kα, 1.54184 Å).
No peak broadening, texture or thermal motion is included.

Structure:
```
CdC3S3N5
1.0
7.352 0.000 0.000
0.000 11.317 0.000
0.000 0.000 12.835
Cd C S N
4 12 12 20
direct
0.188 0.076 0.242
0.312 0.924 0.742
0.688 0.424 0.758
0.812 0.576 0.258
0.021 0.160 0.588
0.091 0.027 0.949
0.150 0.377 0.223
0.350 0.623 0.723
0.409 0.973 0.449
0.479 0.840 0.088
0.521 0.340 0.412
0.591 0.473 0.051
0.650 0.123 0.777
0.850 0.877 0.277
0.909 0.527 0.551
0.979 0.660 0.912
0.015 0.121 0.034
0.141 0.518 0.195
0.188 0.145 0.672
0.312 0.855 0.172
0.359 0.482 0.695
0.485 0.879 0.534
0.515 0.379 0.966
0.641 0.982 0.805
0.688 0.355 0.328
0.812 0.645 0.828
0.859 0.018 0.305
0.985 0.621 0.466
0.013 0.878 0.636
0.086 0.413 0.923
0.101 0.680 0.970
0.147 0.959 0.887
0.164 0.275 0.240
0.336 0.725 0.740
0.353 0.041 0.387
0.399 0.320 0.470
0.414 0.587 0.423
0.487 0.122 0.136
0.513 0.622 0.364
0.586 0.087 0.077
0.601 0.820 0.030
0.647 0.541 0.113
0.664 0.225 0.760
0.836 0.775 0.260
0.853 0.459 0.613
0.899 0.180 0.530
0.914 0.913 0.577
0.987 0.378 0.864
```

Top 6 peaks for 2θ from 10° to 90°, by angle:
hkl  two_theta  Rel. int.
0 0 2  13.81  100
1 1 0  14.37  89
0 2 0  15.66  44
1 1 2  19.97  59
0 3 2  27.45  56
2 0 2  27.97  55

Record 2
Structure and simulated X-ray diffraction stick pattern of AgH8O5 (a DFT-relaxed cell (GGA-PBE, the Materials Project); Cu Kα, 1.54184 Å).
No peak broadening, texture or thermal motion is included.

Structure:
```
AgH8O5
1.0
6.312 0.000 0.000
0.000 6.448 0.000
0.000 0.000 13.016
Ag H O
4 32 20
direct
0.005 0.249 0.000
0.495 0.751 0.500
0.505 0.251 0.000
0.995 0.749 0.500
0.042 0.202 0.311
0.201 0.031 0.266
0.221 0.563 0.840
0.231 0.864 0.104
0.232 0.338 0.793
0.242 0.065 0.437
0.244 0.625 0.138
0.245 0.698 0.662
0.255 0.302 0.162
0.256 0.375 0.638
0.258 0.935 0.937
0.268 0.662 0.293
0.269 0.136 0.604
0.279 0.437 0.340
0.299 0.969 0.766
0.458 0.798 0.811
0.542 0.298 0.689
0.701 0.469 0.734
0.721 0.937 0.160
0.731 0.636 0.896
0.732 0.162 0.207
0.742 0.435 0.563
0.744 0.875 0.862
0.745 0.802 0.338
0.755 0.198 0.838
0.756 0.125 0.362
0.758 0.565 0.063
0.768 0.838 0.707
0.769 0.364 0.396
0.779 0.063 0.660
0.799 0.531 0.234
0.958 0.702 0.189
0.196 0.165 0.301
0.210 0.770 0.166
0.237 0.415 0.858
0.243 0.609 0.601
0.244 0.990 0.503
0.256 0.010 0.003
0.257 0.391 0.101
0.263 0.585 0.358
0.290 0.230 0.666
0.304 0.835 0.801
0.696 0.335 0.699
0.710 0.730 0.834
0.737 0.085 0.142
0.743 0.891 0.399
0.744 0.510 0.497
0.756 0.490 0.997
0.757 0.109 0.899
0.763 0.915 0.642
0.790 0.270 0.334
0.804 0.665 0.199
```

Top 6 peaks for 2θ from 10° to 90°, by angle:
hkl  two_theta  Rel. int.
0 0 2  13.61  55
0 1 1  15.34  100
0 1 3  24.73  46
2 0 2  31.51  18
2 1 1  32.32  31
2 2 2  42.42  23